This entry pairs a crystal structure of K2VCuS4 with its computed X-ray diffraction stick pattern. Radiation: λ = 1.5418 Å (Cu Kα). Structure: a structure optimized by DFT (GGA-PBE).

Atomic structure:
```
data_K2VCuS4
_chemical_formula_sum 'K16 V8 Cu8 S32'
_cell_length_a 5.429
_cell_length_b 13.120
_cell_length_c 22.996
_cell_angle_alpha 90.00
_cell_angle_beta 90.00
_cell_angle_gamma 90.00
_space_group_name_H-M_alt 'F d d d'
_space_group_IT_number 70
loop_
_space_group_symop_operation_xyz
'x,y,z'
'-x,-y,-z'
'-x+1/4,-y+1/4,z'
'x+1/4,y+1/4,-z'
'x,-y+1/4,-z+1/4'
'-x,y+1/4,z+1/4'
'-x+1/4,y,-z+1/4'
'x+1/4,-y,z+1/4'
'x,y+1/2,z+1/2'
'-x,-y+1/2,-z+1/2'
'-x+1/4,-y+3/4,z+1/2'
'x+1/4,y+3/4,-z+1/2'
'x,-y+3/4,-z+3/4'
'-x,y+3/4,z+3/4'
'-x+1/4,y+1/2,-z+3/4'
'x+1/4,-y+1/2,z+3/4'
'x+1/2,y,z+1/2'
'-x+1/2,-y,-z+1/2'
'-x+3/4,-y+1/4,z+1/2'
'x+3/4,y+1/4,-z+1/2'
'x+1/2,-y+1/4,-z+3/4'
'-x+1/2,y+1/4,z+3/4'
'-x+3/4,y,-z+3/4'
'x+3/4,-y,z+3/4'
'x+1/2,y+1/2,z'
'-x+1/2,-y+1/2,-z'
'-x+3/4,-y+3/4,z'
'x+3/4,y+3/4,-z'
'x+1/2,-y+3/4,-z+1/4'
'-x+1/2,y+3/4,z+1/4'
'-x+3/4,y+1/2,-z+1/4'
'x+3/4,-y+1/2,z+1/4'
loop_
_atom_site_label
_atom_site_fract_x
_atom_site_fract_y
_atom_site_fract_z
K1 0.125 0.125 0.304
V1 0.125 0.125 0.125
Cu1 0.125 0.125 0.625
S1 0.106 0.278 0.429
```

Principal peaks in the range 10° ≤ 2θ ≤ 90°, by angle:
| Position (°2θ) | d/Å | Rel. int. | h k l |
| --- | --- | --- | --- |
| 15.41 | 5.749 | 78.2 | 0 0 4 |
| 15.55 | 5.698 | 100.0 | 0 2 2 |
| 26.94 | 3.309 | 70.6 | 0 2 6 |
| 28.68 | 3.112 | 91.0 | 1 3 3 |
| 32.72 | 2.737 | 42.0 | 1 3 5 |
| 35.80 | 2.508 | 26.9 | 2 2 0 |
| 40.73 | 2.215 | 46.9 | 2 0 6 |
| 44.01 | 2.057 | 24.6 | 2 4 2 |
| 47.89 | 1.899 | 26.7 | 0 6 6 |
| 52.13 | 1.755 | 23.0 | 2 0 10 |
| 53.84 | 1.703 | 29.3 | 2 6 0 |
| 56.33 | 1.633 | 18.1 | 3 3 3 |